This entry pairs a crystal structure of Sm2TiTl with its calculated powder XRD pattern. Radiation: λ = 1.5418 Å (Cu Kα). Structure: a crystal structure in Alexandria, relaxed with PBE.

Cell and atoms:
```
data_Sm2TiTl
_symmetry_space_group_name_H-M 'P 4/m m m'
_symmetry_Int_Tables_number 123
_symmetry_space_group_name_Hall '-P 4 2'
_cell_length_a 4.901
_cell_length_b 4.901
_cell_length_c 4.478
_cell_angle_alpha 90.00
_cell_angle_beta 90.00
_cell_angle_gamma 90.00
loop_
_atom_site_label
_atom_site_fract_x
_atom_site_fract_y
_atom_site_fract_z
Sm1 0.000 0.500 0.000
Ti1 0.000 0.000 0.500
Tl1 0.500 0.500 0.500
```

Peak list (6 most intense, 2θ from 10° to 90°, sorted by position)
| 2θ (°) | I (rel.) |
| --- | --- |
| 18.10 | 16 |
| 32.68 | 100 |
| 36.68 | 37 |
| 55.60 | 22 |
| 63.53 | 29 |
| 68.46 | 24 |